Structure and computed powder X-ray diffraction pattern of Li9Mn2Co5O16 (the PBE+U geometry in the Materials Project; copper Kα).
Kinematic intensities with the Lorentz-polarization factor, no thermal factor.

```
Li9Mn2Co5O16
1.0
9.782 -2.915 0.000
9.782 2.915 0.000
-0.805 0.000 4.979
Li Mn Co O
9 2 5 16
Direct
0.000 0.000 0.000
0.117 0.636 0.754
0.122 0.122 0.752
0.364 0.883 0.246
0.370 0.381 0.249
0.619 0.630 0.751
0.628 0.122 0.755
0.878 0.372 0.245
0.878 0.878 0.248
0.492 0.508 0.000
0.755 0.245 0.500
0.246 0.252 0.500
0.246 0.754 0.500
0.497 0.003 0.000
0.748 0.754 0.500
0.997 0.503 0.000
0.051 0.060 0.395
0.056 0.560 0.379
0.188 0.194 0.121
0.207 0.683 0.142
0.305 0.310 0.880
0.317 0.793 0.858
0.440 0.944 0.621
0.444 0.448 0.640
0.552 0.556 0.360
0.554 0.062 0.379
0.676 0.214 0.146
0.690 0.695 0.120
0.786 0.324 0.854
0.806 0.812 0.879
0.938 0.446 0.621
0.940 0.949 0.605
```

Largest 10 diffraction maxima, low angle first, 2θ = 5–70°:
- 2θ 9.2, rel. 9.4
- 2θ 18.4, rel. 100.0
- 2θ 36.1, rel. 14.9
- 2θ 36.2, rel. 26.1
- 2θ 43.5, rel. 27.9
- 2θ 43.9, rel. 54.6
- 2θ 47.6, rel. 9.1
- 2θ 57.8, rel. 9.6
- 2θ 63.0, rel. 15.1
- 2θ 63.9, rel. 22.2

Structure and computed powder X-ray diffraction pattern of Sm2VFeO6 (the PBE+U geometry in the Materials Project; copper Kα).
Kinematic intensities with the Lorentz-polarization factor, no thermal factor.

```
Sm2VFeO6
1.0
5.435 0.000 0.000
0.000 5.681 0.000
-5.433 0.000 7.830
Sm V Fe O
4 2 2 12
Direct
0.234 0.063 0.250
0.234 0.437 0.750
0.766 0.563 0.250
0.766 0.937 0.750
0.000 0.000 0.500
0.000 0.500 0.000
0.500 0.000 0.000
0.500 0.500 0.500
0.144 0.201 0.947
0.144 0.299 0.447
0.250 0.701 0.947
0.250 0.799 0.447
0.354 0.033 0.752
0.354 0.467 0.252
0.646 0.533 0.748
0.646 0.967 0.248
0.750 0.201 0.553
0.750 0.299 0.053
0.856 0.701 0.553
0.856 0.799 0.053
```

Largest 10 diffraction maxima, low angle first, 2θ = 5–70°:
- 2θ 22.7, rel. 33.0
- 2θ 25.4, rel. 19.0
- 2θ 31.5, rel. 18.9
- 2θ 32.3, rel. 100.0
- 2θ 33.0, rel. 24.5
- 2θ 33.6, rel. 12.5
- 2θ 46.2, rel. 19.1
- 2θ 46.4, rel. 14.8
- 2θ 52.5, rel. 17.5
- 2θ 58.4, rel. 21.9

Structure and computed powder X-ray diffraction pattern of Mn6O5F7 (the PBE+U geometry in the Materials Project; copper Kα).
Kinematic intensities with the Lorentz-polarization factor, no thermal factor.

```
Mn6O5F7
1.0
4.710 0.000 0.000
0.122 5.727 0.000
0.140 0.011 15.652
Mn O F
12 10 14
Direct
0.000 0.000 0.000
0.000 0.006 0.663
0.432 0.500 0.673
0.438 0.827 0.832
0.442 0.814 0.502
0.447 0.510 0.010
0.452 0.500 0.341
0.476 0.794 0.169
0.935 0.001 0.328
0.954 0.315 0.492
0.964 0.326 0.156
0.975 0.303 0.833
0.156 0.269 0.384
0.174 0.045 0.887
0.179 0.051 0.552
0.181 0.277 0.052
0.182 0.271 0.724
0.233 0.767 0.727
0.249 0.764 0.063
0.657 0.546 0.448
0.665 0.768 0.279
0.679 0.536 0.110
0.181 0.775 0.393
0.193 0.043 0.214
0.204 0.562 0.558
0.219 0.532 0.233
0.225 0.547 0.901
0.684 0.044 0.441
0.685 0.788 0.942
0.690 0.765 0.616
0.696 0.544 0.787
0.710 0.290 0.942
0.717 0.281 0.608
0.719 0.263 0.264
0.725 0.040 0.768
0.739 0.032 0.104
```

Largest 10 diffraction maxima, low angle first, 2θ = 5–70°:
- 2θ 24.2, rel. 99.5
- 2θ 24.7, rel. 92.4
- 2θ 29.6, rel. 90.0
- 2θ 29.8, rel. 100.0
- 2θ 30.1, rel. 99.3
- 2θ 30.3, rel. 80.6
- 2θ 35.8, rel. 69.2
- 2θ 52.1, rel. 72.2
- 2θ 52.6, rel. 80.0
- 2θ 62.5, rel. 62.3

Structure and computed powder X-ray diffraction pattern of CsVP2O7 (the PBE+U geometry in the Materials Project; copper Kα).
Kinematic intensities with the Lorentz-polarization factor, no thermal factor.

```
CsVP2O7
1.0
7.840 0.000 0.000
0.000 10.203 0.000
-2.189 0.000 8.201
Cs V P O
4 4 8 28
Direct
0.198 0.203 0.040
0.198 0.297 0.540
0.802 0.703 0.460
0.802 0.797 0.960
0.241 0.602 0.259
0.241 0.898 0.759
0.759 0.102 0.241
0.759 0.398 0.741
0.132 0.596 0.833
0.132 0.904 0.333
0.425 0.627 0.683
0.425 0.873 0.183
0.575 0.127 0.817
0.575 0.373 0.317
0.868 0.096 0.667
0.868 0.404 0.167
0.011 0.005 0.765
0.011 0.495 0.265
0.094 0.737 0.770
0.094 0.763 0.270
0.160 0.584 0.016
0.160 0.916 0.516
0.316 0.549 0.795
0.316 0.951 0.295
0.323 0.601 0.507
0.323 0.899 0.007
0.390 0.067 0.771
0.390 0.433 0.271
0.437 0.728 0.234
0.437 0.772 0.734
0.563 0.228 0.266
0.563 0.272 0.766
0.610 0.567 0.729
0.610 0.933 0.229
0.677 0.101 0.993
0.677 0.399 0.493
0.684 0.049 0.705
0.684 0.451 0.205
0.840 0.084 0.484
0.840 0.416 0.984
0.906 0.237 0.730
0.906 0.263 0.230
0.989 0.505 0.735
0.989 0.995 0.235
```

Largest 10 diffraction maxima, low angle first, 2θ = 5–70°:
- 2θ 23.5, rel. 72.2
- 2θ 25.0, rel. 48.7
- 2θ 27.9, rel. 32.0
- 2θ 28.0, rel. 29.1
- 2θ 28.4, rel. 31.3
- 2θ 28.7, rel. 100.0
- 2θ 28.8, rel. 77.1
- 2θ 29.0, rel. 47.6
- 2θ 29.1, rel. 65.4
- 2θ 57.3, rel. 24.7

Structure and computed powder X-ray diffraction pattern of BaMnNb2O6 (the PBE+U geometry in the Materials Project; copper Kα).
Kinematic intensities with the Lorentz-polarization factor, no thermal factor.

```
BaMnNb2O6
1.0
0.000 4.098 4.098
4.098 0.000 4.098
4.098 4.098 0.000
Ba Mn Nb O
1 1 2 6
Direct
0.000 0.000 0.000
0.500 0.500 0.500
0.250 0.250 0.250
0.750 0.750 0.750
0.000 0.000 0.500
0.000 0.500 0.000
0.000 0.500 0.500
0.500 0.000 0.000
0.500 0.000 0.500
0.500 0.500 0.000
```

Largest 10 diffraction maxima, low angle first, 2θ = 5–70°:
- 2θ 18.8, rel. 10.3
- 2θ 30.9, rel. 100.0
- 2θ 36.4, rel. 6.1
- 2θ 38.0, rel. 2.8
- 2θ 44.2, rel. 34.0
- 2θ 48.4, rel. 2.8
- 2θ 54.9, rel. 38.9
- 2θ 58.5, rel. 2.2
- 2θ 64.3, rel. 20.3
- 2θ 67.6, rel. 2.2

Structure and computed powder X-ray diffraction pattern of VFeP2H2O10 (the PBE+U geometry in the Materials Project; copper Kα).
Kinematic intensities with the Lorentz-polarization factor, no thermal factor.

```
VFeP2H2O10
1.0
5.167 0.000 0.000
-0.818 5.238 0.000
-2.442 -2.374 6.648
V Fe P H O
1 1 2 2 10
Direct
0.000 0.000 0.000
0.500 0.500 0.500
0.377 0.043 0.720
0.623 0.957 0.280
0.192 0.499 0.156
0.808 0.501 0.844
0.177 0.347 0.208
0.198 0.109 0.853
0.294 0.739 0.614
0.300 0.854 0.129
0.332 0.210 0.582
0.668 0.790 0.418
0.700 0.146 0.871
0.706 0.261 0.386
0.802 0.891 0.147
0.823 0.653 0.792
```

Largest 10 diffraction maxima, low angle first, 2θ = 5–70°:
- 2θ 18.0, rel. 44.0
- 2θ 18.4, rel. 100.0
- 2θ 25.5, rel. 23.6
- 2θ 25.9, rel. 44.8
- 2θ 26.2, rel. 28.3
- 2θ 26.8, rel. 37.3
- 2θ 27.1, rel. 79.2
- 2θ 29.5, rel. 57.1
- 2θ 34.2, rel. 28.9
- 2θ 37.1, rel. 29.9